No. 1
The following is a theoretical X-ray diffraction stick pattern of Sm3AlFeS7. It was derived from a crystal structure in the Materials Project, relaxed with GGA-PBE, using Cu Kα X-rays.
Peak positions follow from Bragg's law for the DFT cell and can differ from measured ones.

Principal peaks in the range 15° ≤ 2θ ≤ 90°, most intense first:
hkl	two_theta	I_rel
2 0 1	25.40	100
1 0 1	17.65	46
2 0 2	35.74	39
3 0 1	34.84	38
1 2 2	40.35	36
1 2 0	27.83	35

Crystal structure
Cell lengths 9.7932, 9.7932, 6.2368 Å; angles 90.00, 90.00, 120.00 degrees
Space group P6_3 (No. 173)
Inequivalent atoms, fractional coordinates:
Sm1 0.1494 0.3763 0.0000 [6 per cell]
Al1 0.3333 0.6667 0.4252 [2 per cell]
Fe1 0.0000 0.0000 0.3263 [2 per cell]
S1 0.0939 0.5746 0.2736 [6 per cell]
S2 0.0950 0.2304 0.5885 [6 per cell]
S3 0.3333 0.6667 0.7850 [2 per cell]

No. 2
The following is a theoretical X-ray diffraction stick pattern of LaPO4. It was derived from a crystal structure in the Materials Project, relaxed with GGA-PBE, using Cu Kα X-rays.
Peak positions follow from Bragg's law for the DFT cell and can differ from measured ones.

Principal peaks in the range 15° ≤ 2θ ≤ 90°, most intense first:
hkl	two_theta	I_rel
2 1 1	30.99	100
0 1 1	19.37	91
1 1 4	44.59	39
1 0 1	15.32	30
1 1 2	28.37	29
0 2 0	33.95	26

Crystal structure
Cell lengths 7.422, 5.281, 9.221 Å; angles 90.00, 90.00, 90.00 degrees
Space group Pnma (No. 62)
Inequivalent atoms, fractional coordinates:
La1 0.021 0.250 0.193 [4 per cell]
P1 0.245 0.250 0.580 [4 per cell]
O1 0.041 0.750 0.084 [4 per cell]
O2 0.182 0.007 0.658 [8 per cell]
O3 0.195 0.250 0.417 [4 per cell]

No. 3
The following is a theoretical X-ray diffraction stick pattern of LuFe6Sn6. It was derived from a crystal structure in the Materials Project, relaxed with GGA-PBE, using Cu Kα X-rays.
Peak positions follow from Bragg's law for the DFT cell and can differ from measured ones.

Principal peaks in the range 15° ≤ 2θ ≤ 90°, most intense first:
hkl	two_theta	I_rel
1 1 0	33.10	100
1 1 2	38.91	93
1 0 3	35.71	49
2 0 2	43.61	43
1 1 6	72.42	36
2 0 0	38.41	30

Crystal structure
Cell lengths 5.4125, 5.4125, 8.9378 Å; angles 90.00, 90.00, 120.00 degrees
Space group P6/mmm (No. 191)
Inequivalent atoms, fractional coordinates:
Lu1 0.0000 0.0000 0.0000 [1 per cell]
Fe1 0.0000 0.5000 0.2447 [6 per cell]
Sn1 0.0000 0.0000 0.3364 [2 per cell]
Sn2 0.3333 0.6667 0.0000 [2 per cell]
Sn3 0.3333 0.6667 0.5000 [2 per cell]

No. 4
The following is a theoretical X-ray diffraction stick pattern of Pm2NiRh. It was derived from a crystal structure in the Materials Project, relaxed with GGA-PBE, using Cu Kα X-rays.
Peak positions follow from Bragg's law for the DFT cell and can differ from measured ones.

Principal peaks in the range 15° ≤ 2θ ≤ 90°, most intense first:
hkl	two_theta	I_rel
2 2 0	36.41	100
4 2 2	65.51	35
4 0 0	52.43	17
6 2 0	88.62	16
4 4 0	77.33	11
2 0 0	25.52	9

Crystal structure
Cell lengths 6.980, 6.980, 6.980 Å; angles 90.00, 90.00, 90.00 degrees
Space group Fm-3m (No. 225)
Inequivalent atoms, fractional coordinates:
Pm1 0.250 0.250 0.250 [8 per cell]
Ni1 0.000 0.000 0.000 [4 per cell]
Rh1 0.000 0.000 0.500 [4 per cell]

No. 5
The following is a theoretical X-ray diffraction stick pattern of NdP4NO12. It was derived from a crystal structure in the Materials Project, relaxed with GGA-PBE, using Cu Kα X-rays.
Peak positions follow from Bragg's law for the DFT cell and can differ from measured ones.

Principal peaks in the range 15° ≤ 2θ ≤ 90°, most intense first:
hkl	two_theta	I_rel
0 2 1	16.56	100
1 3 -2	27.49	75
1 1 2	25.45	71
1 1 -2	18.79	37
2 4 0	37.13	29
1 3 1	27.19	26

Crystal structure
Cell lengths 8.048, 12.638, 10.758 Å; angles 90.00, 110.46, 90.00 degrees
Space group C2/c (No. 15)
Inequivalent atoms, fractional coordinates:
Nd1 0.000 0.119 0.250 [4 per cell]
P1 0.043 0.329 0.500 [8 per cell]
P2 0.214 0.478 0.942 [8 per cell]
N1 0.000 0.182 0.750 [4 per cell]
O1 0.052 0.245 0.098 [8 per cell]
O2 0.069 0.429 0.413 [8 per cell]
O3 0.098 0.374 0.936 [8 per cell]
O4 0.149 0.011 0.922 [8 per cell]
O5 0.210 0.304 0.612 [8 per cell]
O6 0.221 0.029 0.172 [8 per cell]

Copy entry 2 word for word.
The following is a theoretical X-ray diffraction stick pattern of LaPO4. It was derived from a crystal structure in the Materials Project, relaxed with GGA-PBE, using Cu Kα X-rays.
Peak positions follow from Bragg's law for the DFT cell and can differ from measured ones.

Principal peaks in the range 15° ≤ 2θ ≤ 90°, most intense first:
hkl	two_theta	I_rel
2 1 1	30.99	100
0 1 1	19.37	91
1 1 4	44.59	39
1 0 1	15.32	30
1 1 2	28.37	29
0 2 0	33.95	26

Crystal structure
Cell lengths 7.422, 5.281, 9.221 Å; angles 90.00, 90.00, 90.00 degrees
Space group Pnma (No. 62)
Inequivalent atoms, fractional coordinates:
La1 0.021 0.250 0.193 [4 per cell]
P1 0.245 0.250 0.580 [4 per cell]
O1 0.041 0.750 0.084 [4 per cell]
O2 0.182 0.007 0.658 [8 per cell]
O3 0.195 0.250 0.417 [4 per cell]

Number 3 is which compound? LuFe6Sn6